For Ac6CeS8, a cell relaxed with PBE gives the calculated XRD peak list in this record (Cu Kα).

Structural model:
```
Ac6CeS8
1.0
0.0000 6.0593 6.0593
6.0593 0.0000 6.0593
6.0593 6.0593 0.0000
Ac Ce S
6 1 8
Direct
0.0000 0.0000 0.5000
0.0000 0.5000 0.0000
0.0000 0.5000 0.5000
0.5000 0.0000 0.0000
0.5000 0.0000 0.5000
0.5000 0.5000 0.0000
0.0000 0.0000 0.0000
0.2395 0.2395 0.7605
0.2395 0.7605 0.2395
0.2395 0.7605 0.7605
0.2500 0.2500 0.2500
0.7500 0.7500 0.7500
0.7605 0.2395 0.2395
0.7605 0.2395 0.7605
0.7605 0.7605 0.2395
```

Top 6 peaks for 15° ≤ 2θ ≤ 90°, sorted by position:
25.46°, d = 3.498 Å, intensity 89
29.48°, d = 3.030 Å, intensity 100
42.18°, d = 2.142 Å, intensity 75
49.92°, d = 1.827 Å, intensity 48
52.30°, d = 1.749 Å, intensity 27
69.36°, d = 1.355 Å, intensity 35